[1]
For PrDyTl2, a PBE-relaxed structure gives the theoretical X-ray powder pattern in this record (Cu Kα X-rays).

Crystal structure
```
data_PrDyTl2
_space_group_name_H-M_alt 'P 1'
_space_group_IT_number 1
_cell_length_a 7.741
_cell_length_b 7.741
_cell_length_c 7.741
_cell_angle_alpha 90.00
_cell_angle_beta 90.00
_cell_angle_gamma 90.00
loop_
_space_group_symop_operation_xyz
'x,y,z'
loop_
_atom_site_label
_atom_site_type_symbol
_atom_site_fract_x
_atom_site_fract_y
_atom_site_fract_z
Pr1 Pr 0.000 0.000 0.000
Pr2 Pr 0.000 0.500 0.500
Pr3 Pr 0.500 0.000 0.500
Pr4 Pr 0.500 0.500 0.000
Dy1 Dy 0.000 0.000 0.500
Dy2 Dy 0.000 0.500 0.000
Dy3 Dy 0.500 0.000 0.000
Dy4 Dy 0.500 0.500 0.500
Tl1 Tl 0.250 0.250 0.250
Tl2 Tl 0.250 0.250 0.750
Tl3 Tl 0.250 0.750 0.250
Tl4 Tl 0.250 0.750 0.750
Tl5 Tl 0.750 0.250 0.250
Tl6 Tl 0.750 0.250 0.750
Tl7 Tl 0.750 0.750 0.250
Tl8 Tl 0.750 0.750 0.750
```

Peak list (8 most intense, 2θ = 10–80°, low angle first)
| 2θ (°) | I/Imax |
| --- | --- |
| 22.98 | 2 |
| 32.72 | 100 |
| 40.36 | 1 |
| 46.95 | 19 |
| 52.89 | 1 |
| 58.40 | 39 |
| 68.57 | 12 |
| 78.07 | 17 |

[2]
For BeZn3O4, a PBE-relaxed structure gives the theoretical X-ray powder pattern in this record (Cu Kα X-rays).

Crystal structure
```
data_BeZn3O4
_space_group_name_H-M_alt 'P 1'
_space_group_IT_number 1
_cell_length_a 4.428
_cell_length_b 4.428
_cell_length_c 8.792
_cell_angle_alpha 90.00
_cell_angle_beta 90.00
_cell_angle_gamma 90.00
loop_
_space_group_symop_operation_xyz
'x,y,z'
loop_
_atom_site_label
_atom_site_type_symbol
_atom_site_fract_x
_atom_site_fract_y
_atom_site_fract_z
Be1 Be 0.000 0.000 0.000
Be2 Be 0.500 0.500 0.500
Zn1 Zn 0.000 0.000 0.500
Zn2 Zn 0.000 0.500 0.250
Zn3 Zn 0.000 0.500 0.750
Zn4 Zn 0.500 0.000 0.250
Zn5 Zn 0.500 0.000 0.750
Zn6 Zn 0.500 0.500 0.000
O1 O 0.218 0.218 0.889
O2 O 0.218 0.782 0.111
O3 O 0.282 0.282 0.389
O4 O 0.282 0.718 0.611
O5 O 0.718 0.282 0.611
O6 O 0.718 0.718 0.389
O7 O 0.782 0.218 0.111
O8 O 0.782 0.782 0.889
```

Peak list (8 most intense, 2θ = 10–80°, low angle first)
| 2θ (°) | I/Imax |
| --- | --- |
| 22.48 | 17 |
| 35.19 | 100 |
| 40.76 | 16 |
| 47.04 | 9 |
| 59.01 | 14 |
| 59.24 | 28 |
| 70.60 | 22 |
| 71.02 | 11 |

[3]
For SnS, a PBE-relaxed structure gives the theoretical X-ray powder pattern in this record (Cu Kα X-rays).

Crystal structure
```
data_SnS
_space_group_name_H-M_alt 'P 1'
_space_group_IT_number 1
_cell_length_a 3.806
_cell_length_b 12.107
_cell_length_c 5.792
_cell_angle_alpha 90.00
_cell_angle_beta 90.00
_cell_angle_gamma 90.00
loop_
_space_group_symop_operation_xyz
'x,y,z'
loop_
_atom_site_label
_atom_site_type_symbol
_atom_site_fract_x
_atom_site_fract_y
_atom_site_fract_z
Sn1 Sn 0.000 0.158 0.250
Sn2 Sn 0.000 0.842 0.750
Sn3 Sn 0.500 0.342 0.750
Sn4 Sn 0.500 0.658 0.250
S1 S 0.000 0.194 0.750
S2 S 0.000 0.806 0.250
S3 S 0.500 0.306 0.250
S4 S 0.500 0.694 0.750
```

Peak list (8 most intense, 2θ = 10–80°, low angle first)
| 2θ (°) | I/Imax |
| --- | --- |
| 14.63 | 90 |
| 21.23 | 98 |
| 24.52 | 55 |
| 29.03 | 58 |
| 30.88 | 61 |
| 32.33 | 100 |
| 45.31 | 78 |
| 47.18 | 41 |

[4]
For CrSn2, a PBE-relaxed structure gives the theoretical X-ray powder pattern in this record (Cu Kα X-rays).

Crystal structure
```
data_CrSn2
_space_group_name_H-M_alt 'P 1'
_space_group_IT_number 1
_cell_length_a 10.344
_cell_length_b 9.618
_cell_length_c 5.404
_cell_angle_alpha 81.87
_cell_angle_beta 66.98
_cell_angle_gamma 31.14
loop_
_space_group_symop_operation_xyz
'x,y,z'
loop_
_atom_site_label
_atom_site_type_symbol
_atom_site_fract_x
_atom_site_fract_y
_atom_site_fract_z
Cr1 Cr 0.002 0.002 0.748
Cr2 Cr 0.252 0.252 0.998
Cr3 Cr 0.748 0.748 0.002
Cr4 Cr 0.998 0.998 0.252
Sn1 Sn 0.040 0.710 0.040
Sn2 Sn 0.290 0.960 0.290
Sn3 Sn 0.294 0.294 0.456
Sn4 Sn 0.456 0.456 0.294
Sn5 Sn 0.544 0.544 0.706
Sn6 Sn 0.706 0.706 0.544
Sn7 Sn 0.710 0.040 0.710
Sn8 Sn 0.960 0.290 0.960
```

Peak list (8 most intense, 2θ = 10–80°, low angle first)
| 2θ (°) | I/Imax |
| --- | --- |
| 30.83 | 55 |
| 33.52 | 100 |
| 34.49 | 87 |
| 34.92 | 78 |
| 36.31 | 61 |
| 39.20 | 83 |
| 43.28 | 77 |
| 43.40 | 41 |

[5]
For ZrUS2, a PBE-relaxed structure gives the theoretical X-ray powder pattern in this record (Cu Kα X-rays).

Crystal structure
```
data_ZrUS2
_space_group_name_H-M_alt 'P 1'
_space_group_IT_number 1
_cell_length_a 3.779
_cell_length_b 3.779
_cell_length_c 18.179
_cell_angle_alpha 90.00
_cell_angle_beta 90.00
_cell_angle_gamma 120.00
loop_
_space_group_symop_operation_xyz
'x,y,z'
loop_
_atom_site_label
_atom_site_type_symbol
_atom_site_fract_x
_atom_site_fract_y
_atom_site_fract_z
Zr1 Zr 0.000 0.000 0.000
Zr2 Zr 0.333 0.667 0.667
Zr3 Zr 0.667 0.333 0.333
U1 U 0.000 0.000 0.500
U2 U 0.333 0.667 0.167
U3 U 0.667 0.333 0.833
S1 S 0.000 0.000 0.252
S2 S 0.000 0.000 0.748
S3 S 0.333 0.667 0.414
S4 S 0.333 0.667 0.919
S5 S 0.667 0.333 0.081
S6 S 0.667 0.333 0.586
```

Peak list (8 most intense, 2θ = 10–80°, low angle first)
| 2θ (°) | I/Imax |
| --- | --- |
| 14.62 | 25 |
| 27.70 | 20 |
| 29.00 | 63 |
| 29.48 | 20 |
| 33.75 | 100 |
| 48.16 | 36 |
| 48.79 | 35 |
| 57.48 | 20 |

[6]
For CeBPt3, a PBE-relaxed structure gives the theoretical X-ray powder pattern in this record (Cu Kα X-rays).

Crystal structure
```
data_CeBPt3
_space_group_name_H-M_alt 'P 1'
_space_group_IT_number 1
_cell_length_a 3.978
_cell_length_b 3.978
_cell_length_c 5.213
_cell_angle_alpha 90.00
_cell_angle_beta 90.00
_cell_angle_gamma 90.00
loop_
_space_group_symop_operation_xyz
'x,y,z'
loop_
_atom_site_label
_atom_site_type_symbol
_atom_site_fract_x
_atom_site_fract_y
_atom_site_fract_z
Ce1 Ce 0.000 0.000 0.000
B1 B 0.500 0.500 0.733
Pt1 Pt 0.000 0.500 0.535
Pt2 Pt 0.500 0.000 0.535
Pt3 Pt 0.500 0.500 0.142
```

Peak list (8 most intense, 2θ = 10–80°, low angle first)
| 2θ (°) | I/Imax |
| --- | --- |
| 34.41 | 20 |
| 36.29 | 100 |
| 41.42 | 11 |
| 45.61 | 31 |
| 58.37 | 18 |
| 66.49 | 10 |
| 77.04 | 11 |
| 78.17 | 22 |